Entry 1:
KMg14SbO16: simulated powder X-ray diffraction pattern (Cu Kα), based on a cell relaxed with PBE.

Cell and atoms:
a b c (Å): 8.7368 8.7368 4.4581
angles (deg): 90.00 90.00 90.00
Space group P4/mmm (No. 123)
Unique sites:
K: 0.0000 0.0000 0.0000 (multiplicity 1)
Mg: 0.0000 0.2490 0.5000 (multiplicity 4)
Mg: 0.0000 0.5000 0.0000 (multiplicity 2)
Mg: 0.2360 0.5000 0.5000 (multiplicity 4)
Mg: 0.2426 0.2426 0.0000 (multiplicity 4)
Sb: 0.5000 0.5000 0.0000 (multiplicity 1)
O: 0.0000 0.0000 0.5000 (multiplicity 1)
O: 0.0000 0.2745 0.0000 (multiplicity 4)
O: 0.0000 0.5000 0.5000 (multiplicity 2)
O: 0.2418 0.5000 0.0000 (multiplicity 4)
O: 0.2523 0.2523 0.5000 (multiplicity 4)
O: 0.5000 0.5000 0.5000 (multiplicity 1)

Top 8 peaks for 15 to 90 degrees two-theta, in order of rising 2θ:
2θ (°)  d [Å]  I (rel.)  index
20.33  4.368  14  2 0 0
24.63  3.615  15  1 1 1
35.35  2.539  35  2 2 1
40.47  2.229  55  0 0 2
41.34  2.184  100  4 0 0
59.23  1.560  60  4 0 2
59.89  1.544  28  4 4 0
74.78  1.270  26  4 4 2



Entry 2:
K2MgSb2O6: simulated powder X-ray diffraction pattern (Cu Kα), based on a cell relaxed with PBE.

Cell and atoms:
a b c (Å): 5.6841 5.6841 19.1298
angles (deg): 90.00 90.00 120.00
Space group R-3 (No. 148, hexagonal axes)
Unique sites:
K: 0.0000 0.0000 0.1659 (multiplicity 6)
Mg: 0.0000 0.0000 0.0000 (multiplicity 3)
Sb: 0.0000 0.0000 0.3427 (multiplicity 6)
O: 0.0127 0.3143 0.7215 (multiplicity 18)

Top 8 peaks for 15 to 90 degrees two-theta, in order of rising 2θ:
2θ (°)  d [Å]  I (rel.)  index
20.29  4.377  38  0 1 2
25.98  3.430  44  1 0 4
27.99  3.188  33  0 0 6
31.48  2.842  80  1 1 0
34.55  2.596  42  2 -1 3
42.62  2.122  100  2 -1 6
56.05  1.641  31  3 0 0
72.87  1.298  19  2 2 6



Entry 3:
K6MgSb2O8: simulated powder X-ray diffraction pattern (Cu Kα), based on a cell relaxed with PBE.

Cell and atoms:
a b c (Å): 6.3838 6.6615 7.9356
angles (deg): 82.38 88.70 76.37
Space group P1 (No. 1)
Unique sites:
K: 0.0000 0.0000 0.0000 (multiplicity 1)
K: 0.0522 0.4110 0.7206 (multiplicity 1)
K: 0.3993 0.6078 0.0349 (multiplicity 1)
K: 0.5043 0.4503 0.4804 (multiplicity 1)
K: 0.5837 0.8220 0.6977 (multiplicity 1)
K: 0.9211 0.4852 0.2097 (multiplicity 1)
Mg: 0.5485 0.2088 0.9478 (multiplicity 1)
Sb: 0.0593 0.9711 0.4704 (multiplicity 1)
Sb: 0.4813 0.0129 0.2467 (multiplicity 1)
O: 0.1526 0.7777 0.6760 (multiplicity 1)
O: 0.2382 0.8261 0.2863 (multiplicity 1)
O: 0.2637 0.2287 0.0690 (multiplicity 1)
O: 0.3048 0.1315 0.4533 (multiplicity 1)
O: 0.6028 0.9009 0.0250 (multiplicity 1)
O: 0.6528 0.2306 0.1969 (multiplicity 1)
O: 0.6669 0.3811 0.7858 (multiplicity 1)
O: 0.6931 0.7944 0.3838 (multiplicity 1)

Top 8 peaks for 15 to 90 degrees two-theta, in order of rising 2θ:
2θ (°)  d [Å]  I (rel.)  index
16.65  5.326  91  0 1 1
27.27  3.271  91  1 1 2
28.63  3.118  69  0 2 1
28.81  3.099  100  2 0 0
30.01  2.978  75  1 1 -2
30.41  2.940  71  -1 1 2
33.26  2.694  95  1 -1 2
35.21  2.549  99  2 2 0